(1)
# Th4Ni3Sb8
Simulated X-ray powder pattern, copper Kα. Input: DFT lattice parameters and positions (PBE).
No peak broadening, texture or thermal motion is included.

Structural model:
Lattice parameters (Å, degrees): 4.4346 4.4346 18.9724 90.00 90.00 90.00
Atoms (fractional coordinates):
1 Th 0.0000 0.5000 0.1128
2 Th 0.0000 0.5000 0.6166
3 Th 0.5000 0.0000 0.3834
4 Th 0.5000 0.0000 0.8872
5 Ni 0.0000 0.0000 0.0000
6 Ni 0.0000 0.0000 0.5000
7 Ni 0.5000 0.5000 0.5000
8 Sb 0.0000 0.0000 0.2474
9 Sb 0.0000 0.0000 0.7526
10 Sb 0.0000 0.5000 0.4278
11 Sb 0.0000 0.5000 0.9318
12 Sb 0.5000 0.0000 0.0682
13 Sb 0.5000 0.0000 0.5722
14 Sb 0.5000 0.5000 0.2475
15 Sb 0.5000 0.5000 0.7525

The 12 most intense peaks (2θ = 10–80°), sorted by position:
Position (°2θ), I_rel
22.13, 288
28.22, 170
28.46, 145
30.01, 268
34.28, 1000
34.85, 399
40.69, 495
50.26, 140
52.46, 154
54.63, 225
58.90, 166
69.96, 251

(2)
# HfTi7In3
Simulated X-ray powder pattern, copper Kα. Input: DFT lattice parameters and positions (PBE).
No peak broadening, texture or thermal motion is included.

Structural model:
Lattice parameters (Å, degrees): 7.1822 7.1822 7.1822 141.46 96.48 96.02
Atoms (fractional coordinates):
1 Hf 0.0000 0.0000 0.0000
2 Ti 0.0000 0.5000 0.5000
3 Ti 0.0820 0.2970 0.7850
4 Ti 0.2948 0.0000 0.2948
5 Ti 0.4880 0.7030 0.7850
6 Ti 0.5120 0.2970 0.2150
7 Ti 0.7052 0.0000 0.7052
8 Ti 0.9180 0.7030 0.2150
9 In 0.2839 0.7839 0.5000
10 In 0.5000 0.5000 0.0000
11 In 0.7161 0.2161 0.5000

The 12 most intense peaks (2θ = 10–80°), sorted by position:
Position (°2θ), I_rel
18.55, 325
28.04, 744
29.41, 133
37.43, 239
37.61, 292
37.96, 387
38.84, 1000
54.11, 123
54.37, 155
54.51, 191
69.16, 190
74.98, 131

(3)
# Mg2ZnCu2Pd5
Simulated X-ray powder pattern, copper Kα. Input: DFT lattice parameters and positions (PBE).
No peak broadening, texture or thermal motion is included.

Structural model:
Lattice parameters (Å, degrees): 9.1604 9.1604 3.7806 90.00 90.00 90.00
Atoms (fractional coordinates):
1 Mg 0.1697 0.3303 0.0000
2 Mg 0.3303 0.8303 0.0000
3 Mg 0.6697 0.1697 0.0000
4 Mg 0.8303 0.6697 0.0000
5 Zn 0.0000 0.0000 0.0000
6 Zn 0.5000 0.5000 0.0000
7 Cu 0.1272 0.6272 0.0000
8 Cu 0.3728 0.1272 0.0000
9 Cu 0.6272 0.8728 0.0000
10 Cu 0.8728 0.3728 0.0000
11 Pd 0.0000 0.5000 0.5000
12 Pd 0.0800 0.8047 0.5000
13 Pd 0.1953 0.0800 0.5000
14 Pd 0.3047 0.5800 0.5000
15 Pd 0.4200 0.3047 0.5000
16 Pd 0.5000 0.0000 0.5000
17 Pd 0.5800 0.6953 0.5000
18 Pd 0.6953 0.4200 0.5000
19 Pd 0.8047 0.9200 0.5000
20 Pd 0.9200 0.1953 0.5000

The 12 most intense peaks (2θ = 10–80°), sorted by position:
Position (°2θ), I_rel
21.69, 346
23.53, 201
39.18, 1000
40.61, 248
42.89, 438
44.22, 156
47.47, 193
48.14, 233
64.75, 121
67.42, 85
73.04, 83
77.96, 128

(4)
# UGa2BiO8
Simulated X-ray powder pattern, copper Kα. Input: DFT lattice parameters and positions (PBE).
No peak broadening, texture or thermal motion is included.

Structural model:
Lattice parameters (Å, degrees): 5.9377 5.9377 5.9377 108.94 108.94 110.55
Atoms (fractional coordinates):
1 U 0.0000 0.0000 0.0000
2 Ga 0.2500 0.7500 0.5000
3 Ga 0.5000 0.5000 0.0000
4 Bi 0.7500 0.2500 0.5000
5 O 0.0602 0.3644 0.3043
6 O 0.0602 0.7559 0.6957
7 O 0.1181 0.2966 0.8215
8 O 0.2441 0.9398 0.3043
9 O 0.4750 0.2966 0.1785
10 O 0.6356 0.9398 0.6957
11 O 0.7034 0.5250 0.8215
12 O 0.7034 0.8819 0.1785

The 12 most intense peaks (2θ = 10–80°), sorted by position:
Position (°2θ), I_rel
18.36, 523
25.82, 1000
31.87, 162
32.20, 920
36.84, 265
41.46, 129
49.72, 696
53.08, 159
59.94, 162
61.01, 178
63.45, 198
75.68, 163

(5)
# Ni2C
Simulated X-ray powder pattern, copper Kα. Input: DFT lattice parameters and positions (PBE).
No peak broadening, texture or thermal motion is included.

Structural model:
Lattice parameters (Å, degrees): 4.8700 4.8700 4.1159 90.00 90.00 120.00
Atoms (fractional coordinates):
1 Ni 0.0000 0.3364 0.2516
2 Ni 0.0000 0.6636 0.7484
3 Ni 0.3364 0.0000 0.2516
4 Ni 0.3364 0.3364 0.7484
5 Ni 0.6636 0.0000 0.7484
6 Ni 0.6636 0.6636 0.2516
7 C 0.0000 0.0000 0.0000
8 C 0.3333 0.6667 0.5000
9 C 0.6667 0.3333 0.5000

The 7 most intense peaks (2θ = 10–80°), sorted by position:
Position (°2θ), I_rel
30.34, 12
36.92, 187
43.17, 1000
44.00, 180
58.74, 160
66.51, 188
78.57, 19

(6)
# Pm4CuPt2
Simulated X-ray powder pattern, copper Kα. Input: DFT lattice parameters and positions (PBE).
No peak broadening, texture or thermal motion is included.

Structural model:
Lattice parameters (Å, degrees): 7.2838 7.2838 7.3107 117.87 117.87 35.43
Atoms (fractional coordinates):
1 Pm 0.1111 0.1111 0.3245
2 Pm 0.3511 0.3511 0.2155
3 Pm 0.6489 0.6489 0.7845
4 Pm 0.8889 0.8889 0.6755
5 Cu 0.5000 0.5000 0.0000
6 Pt 0.2827 0.2827 0.7705
7 Pt 0.7173 0.7173 0.2295

The 12 most intense peaks (2θ = 10–80°), sorted by position:
Position (°2θ), I_rel
14.65, 289
28.04, 1000
32.86, 240
37.67, 174
37.84, 171
38.49, 171
40.71, 254
42.35, 322
42.59, 183
50.15, 143
50.86, 99
56.79, 105

(7)
# Ca2NbTe4
Simulated X-ray powder pattern, copper Kα. Input: DFT lattice parameters and positions (PBE).
No peak broadening, texture or thermal motion is included.

Structural model:
Lattice parameters (Å, degrees): 8.7863 8.7863 8.7863 143.76 143.76 52.19
Atoms (fractional coordinates):
1 Ca 0.1292 0.1292 0.0000
2 Ca 0.8708 0.8708 0.0000
3 Nb 0.5000 0.5000 0.0000
4 Te 0.0000 0.5000 0.5000
5 Te 0.3206 0.3206 0.0000
6 Te 0.5000 0.0000 0.5000
7 Te 0.6794 0.6794 0.0000

The 12 most intense peaks (2θ = 10–80°), sorted by position:
Position (°2θ), I_rel
11.21, 309
17.17, 289
25.67, 530
32.43, 243
32.77, 1000
34.09, 215
47.02, 478
48.01, 324
54.34, 133
59.35, 170
68.69, 199
78.22, 187

(8)
# Ca7Sn2Hg2
Simulated X-ray powder pattern, copper Kα. Input: DFT lattice parameters and positions (PBE).
No peak broadening, texture or thermal motion is included.

Structural model:
Lattice parameters (Å, degrees): 7.0715 7.0715 8.0347 90.00 90.00 109.61
Atoms (fractional coordinates):
1 Ca 0.0000 0.0000 0.0000
2 Ca 0.0000 0.5000 0.2815
3 Ca 0.0000 0.5000 0.7185
4 Ca 0.5000 0.0000 0.2815
5 Ca 0.5000 0.0000 0.7185
6 Ca 0.5000 0.5000 0.2468
7 Ca 0.5000 0.5000 0.7532
8 Sn 0.1834 0.1834 0.5000
9 Sn 0.8166 0.8166 0.5000
10 Hg 0.2869 0.7131 0.0000
11 Hg 0.7131 0.2869 0.0000

The 12 most intense peaks (2θ = 10–80°), sorted by position:
Position (°2θ), I_rel
17.29, 197
18.92, 1000
22.13, 244
24.49, 840
25.57, 177
30.95, 349
34.07, 412
34.99, 854
36.99, 309
39.86, 267
42.20, 457
53.59, 230